The following is a calculated powder X-ray diffraction pattern of Y6Mg6Cu. It was derived from a structure optimized by DFT (PBE), using Cu Kα.
Peak positions follow from Bragg's law for the DFT cell and can differ from measured ones.

Peak list (10 most intense, 2θ = 10–90°, most intense first)
2θ/deg  I (rel.)
29.12  100
33.35  75
29.34  39
58.06  36
37.51  36
36.42  29
60.36  22
23.13  20
51.62  19
38.05  19

Cell and atoms:
a b c (Å): 6.134 6.134 11.144
angles (deg): 90.00 90.00 120.00
Atoms (fractional coordinates):
Y1 0.000 0.000 0.156
Y2 0.000 0.000 0.844
Y3 0.333 0.667 0.000
Y4 0.333 0.667 0.500
Y5 0.667 0.333 0.000
Y6 0.667 0.333 0.500
Mg1 0.000 0.500 0.254
Mg2 0.000 0.500 0.746
Mg3 0.500 0.000 0.254
Mg4 0.500 0.000 0.746
Mg5 0.500 0.500 0.254
Mg6 0.500 0.500 0.746
Cu1 0.000 0.000 0.500